# 1
For Sm2BeB10, a GGA-PBE-relaxed structure gives the computed powder diffraction line list in this record (Cu Kα).
Intensities are scaled so that the largest is 100.

Atomic structure:
Unit cell a=5.593 b=11.036 c=4.152 alpha=90.00 beta=90.00 gamma=90.00
Space group Pbam (No. 55)
One atom of each set of equivalent atoms:
1 Sm 0.192 0.135 0.000 [4 per cell]
2 Be 0.000 0.500 0.500 [2 per cell]
3 B 0.027 0.314 0.500 [4 per cell]
4 B 0.128 0.960 0.500 [4 per cell]
5 B 0.164 0.803 0.500 [4 per cell]
6 B 0.196 0.389 0.201 [8 per cell]

Most intense lines, 2θ = 10–80°, by angle:
(hkl)	2θ (°)	I_rel
0 0 1	21.4	48
1 2 0	22.6	69
1 2 1	31.3	100
2 0 0	32.0	16
0 4 0	32.5	26
2 0 1	38.8	21
0 4 1	39.2	34
2 1 1	39.7	17
2 4 0	46.2	18
1 2 2	49.7	28

# 2
For Y4HoZn, a GGA-PBE-relaxed structure gives the computed powder diffraction line list in this record (Cu Kα).
Intensities are scaled so that the largest is 100.

Atomic structure:
Unit cell a=8.843 b=13.595 c=6.244 alpha=90.00 beta=109.00 gamma=90.00
Space group C2/c (No. 15)
One atom of each set of equivalent atoms:
1 Y 0.104 0.183 0.051 [8 per cell]
2 Y 0.223 0.393 0.372 [8 per cell]
3 Ho 0.000 0.401 0.750 [4 per cell]
4 Zn 0.000 0.001 0.250 [4 per cell]

Most intense lines, 2θ = 10–80°, by angle:
(hkl)	2θ (°)	I_rel
0 4 0	26.2	26
1 3 1	28.9	58
1 1 -2	29.4	50
3 1 -1	31.4	74
2 2 1	32.8	100
2 4 -1	34.3	35
1 5 0	34.7	63
1 3 -2	34.9	56
1 1 3	51.5	26
3 5 2	62.9	25

# 3
For Hf2Sc3Ag2, a GGA-PBE-relaxed structure gives the computed powder diffraction line list in this record (Cu Kα).
Intensities are scaled so that the largest is 100.

Atomic structure:
Unit cell a=4.734 b=20.601 c=3.111 alpha=90.00 beta=90.00 gamma=90.00
Space group Cmmm (No. 65)
One atom of each set of equivalent atoms:
1 Hf 0.000 0.216 0.000 [4 per cell]
2 Sc 0.000 0.352 0.500 [4 per cell]
3 Sc 0.000 0.500 0.500 [2 per cell]
4 Ag 0.000 0.072 0.000 [4 per cell]

Most intense lines, 2θ = 10–80°, by angle:
(hkl)	2θ (°)	I_rel
1 1 0	19.2	29
0 0 1	28.7	40
1 1 1	34.8	64
1 7 0	35.9	100
2 0 0	38.0	43
0 6 1	39.1	33
1 7 1	46.6	42
2 6 1	55.7	19
3 7 0	67.3	19
1 7 2	71.4	26

# 4
For Mg4Sb2H5, a GGA-PBE-relaxed structure gives the computed powder diffraction line list in this record (Cu Kα).
Intensities are scaled so that the largest is 100.

Atomic structure:
Unit cell a=5.016 b=5.414 c=6.452 alpha=88.86 beta=72.95 gamma=77.58
Space group P1 (No. 1)
One atom of each set of equivalent atoms:
1 Mg 0.000 0.000 0.000 [1 per cell]
2 Mg 0.063 0.432 0.626 [1 per cell]
3 Mg 0.445 0.435 0.942 [1 per cell]
4 Mg 0.673 0.940 0.618 [1 per cell]
5 Sb 0.378 0.977 0.293 [1 per cell]
6 Sb 0.662 0.414 0.315 [1 per cell]
7 H 0.147 0.671 0.865 [1 per cell]
8 H 0.293 0.186 0.806 [1 per cell]
9 H 0.690 0.649 0.800 [1 per cell]
10 H 0.812 0.161 0.782 [1 per cell]
11 H 0.996 0.706 0.440 [1 per cell]

Most intense lines, 2θ = 10–80°, by angle:
(hkl)	2θ (°)	I_rel
0 0 1	14.4	100
1 0 0	19.0	29
1 0 -1	27.1	22
1 1 -1	29.3	30
1 1 2	32.8	28
0 2 0	33.9	35
-1 1 1	34.6	32
1 -1 2	35.7	33
2 1 1	37.2	26
0 0 3	44.1	34

# 5
For Ba3Zn2Ge4, a GGA-PBE-relaxed structure gives the computed powder diffraction line list in this record (Cu Kα).
Intensities are scaled so that the largest is 100.

Atomic structure:
Unit cell a=12.563 b=4.439 c=9.115 alpha=90.00 beta=93.57 gamma=90.00
Space group C2/m (No. 12)
One atom of each set of equivalent atoms:
1 Ba 0.000 0.000 0.000 [2 per cell]
2 Ba 0.161 0.500 0.671 [4 per cell]
3 Zn 0.114 0.500 0.287 [4 per cell]
4 Ge 0.060 0.000 0.389 [4 per cell]
5 Ge 0.212 0.500 0.052 [4 per cell]

Most intense lines, 2θ = 10–80°, by angle:
(hkl)	2θ (°)	I_rel
3 1 0	29.3	100
0 0 3	29.5	27
4 0 -1	29.6	23
4 0 2	35.8	27
0 2 0	40.6	19
3 1 -3	41.1	37
0 2 3	51.0	21
4 2 2	55.3	15
1 1 5	55.5	15
4 0 5	60.4	16

# 6
For Sm8Ga2Ru, a GGA-PBE-relaxed structure gives the computed powder diffraction line list in this record (Cu Kα).
Intensities are scaled so that the largest is 100.

Atomic structure:
Unit cell a=18.023 b=5.121 c=6.824 alpha=90.00 beta=101.81 gamma=90.00
Space group C2/m (No. 12)
One atom of each set of equivalent atoms:
1 Sm 0.024 0.000 0.280 [4 per cell]
2 Sm 0.090 0.500 0.942 [4 per cell]
3 Sm 0.153 0.500 0.460 [4 per cell]
4 Sm 0.204 0.000 0.804 [4 per cell]
5 Ga 0.192 0.000 0.240 [4 per cell]
6 Ru 0.000 0.500 0.500 [2 per cell]

Most intense lines, 2θ = 10–80°, by angle:
(hkl)	2θ (°)	I_rel
3 1 1	28.2	44
2 0 2	30.5	24
5 1 0	30.8	63
1 1 -2	31.5	100
3 1 -2	33.0	23
1 1 2	33.3	60
0 2 0	35.0	71
6 0 1	35.8	19
5 1 -2	37.4	26
7 1 3	63.8	21

Question: Number 3 is which compound?
Answer: Hf2Sc3Ag2